Entry 1:
For VTeNO2, a cell relaxed with PBE+U gives the simulated powder XRD pattern in this record (a wavelength of 1.5418 Å).
No peak broadening, texture or thermal motion is included.

Structural model:
Cell: 3.758 3.758 4.225 Å, 90.00 90.00 90.00°
Space group P4/mmm (No. 123)
Symmetry-distinct sites (fractional):
V (0.000, 0.000, 0.000) [1 per cell]
Te (0.500, 0.500, 0.500) [1 per cell]
N (0.000, 0.000, 0.500) [1 per cell]
O (0.000, 0.500, 0.000) [2 per cell]

Most intense lines, 10 to 90 degrees two-theta, by angle:
index  2θ/deg  intensity
1 0 0  23.67  14
1 0 1  31.87  100
1 1 0  33.73  40
1 1 1  40.08  29
0 0 2  42.81  20
2 0 0  48.44  27
1 1 2  55.58  19
2 1 1  59.16  34
2 0 2  66.61  19
1 0 3  71.55  9

***

Entry 2:
For Na2FePbO4, a cell relaxed with PBE+U gives the simulated powder XRD pattern in this record (a wavelength of 1.5418 Å).
No peak broadening, texture or thermal motion is included.

Structural model:
Cell: 5.260 5.260 9.528 Å, 90.00 90.00 90.00°
Space group I-4 (No. 82)
Symmetry-distinct sites (fractional):
Na (0.000, 0.000, 0.000) [2 per cell]
Na (0.000, 0.500, 0.250) [2 per cell]
Fe (0.000, 0.500, 0.750) [2 per cell]
Pb (0.000, 0.000, 0.500) [2 per cell]
O (0.204, 0.280, 0.638) [8 per cell]

Most intense lines, 10 to 90 degrees two-theta, by angle:
index  2θ/deg  intensity
1 0 1  19.28  100
1 1 0  23.93  17
1 1 2  30.49  97
1 0 3  32.95  25
2 0 0  34.09  23
1 2 1  39.46  31
2 1 3  48.14  20
2 2 0  48.98  16
2 0 4  51.78  28
3 1 2  58.80  29